Entry 1:
# Sm2SbH2
Theoretical XRD peak list, copper Kα. Input: a structure optimized by DFT (GGA-PBE).

Main lines, low angle first (2θ = 15–90°):
2θ = 30.8°, rel. 64
2θ = 31.7°, rel. 100
2θ = 38.3°, rel. 36
2θ = 50.5°, rel. 16
2θ = 50.6°, rel. 16
2θ = 55.8°, rel. 12
2θ = 56.5°, rel. 13
2θ = 56.7°, rel. 8
2θ = 65.7°, rel. 7
2θ = 65.8°, rel. 7
2θ = 66.1°, rel. 8
2θ = 71.0°, rel. 10

Structure:
abc: 7.590 6.513 6.043
angles: 74.27 55.70 50.03
Positions (direct):
Sm 0.062 0.688 0.062
Sm 0.312 0.938 0.312
Sm 0.688 0.062 0.688
Sm 0.938 0.312 0.938
Sb 0.375 0.375 0.375
Sb 0.625 0.625 0.625
H 0.006 0.006 0.244
H 0.244 0.244 0.006
H 0.756 0.756 0.994
H 0.994 0.994 0.756

Entry 2:
# Na5TcO6
Theoretical XRD peak list, copper Kα. Input: a structure optimized by DFT (GGA-PBE).

Main lines, low angle first (2θ = 15–90°):
2θ = 16.8°, rel. 50
2θ = 18.0°, rel. 38
2θ = 18.9°, rel. 68
2θ = 21.0°, rel. 49
2θ = 24.7°, rel. 27
2θ = 33.4°, rel. 37
2θ = 33.4°, rel. 16
2θ = 33.9°, rel. 15
2θ = 38.4°, rel. 51
2θ = 39.1°, rel. 100
2θ = 55.7°, rel. 28
2θ = 56.3°, rel. 27

Structure:
abc: 5.690 5.690 5.654
angles: 100.30 100.30 119.51
Positions (direct):
Na 0.000 0.000 0.000
Na 0.167 0.833 0.500
Na 0.329 0.671 0.000
Na 0.671 0.329 0.000
Na 0.833 0.167 0.500
Tc 0.500 0.500 0.500
O 0.152 0.430 0.285
O 0.296 0.296 0.703
O 0.430 0.152 0.285
O 0.570 0.848 0.715
O 0.704 0.704 0.297
O 0.848 0.570 0.715